Li5Br3O2: computed powder diffraction line list (Cu Kα), based on a DFT-relaxed cell (PBE, the Materials Project).

```
Li5Br3O2
1.0
-1.9840 1.9840 10.7078
1.9840 -1.9840 10.7078
1.9840 1.9840 -10.7078
Li Br O
5 3 2
Direct
0.0000 0.0000 0.0000
0.1855 0.1855 0.0000
0.5930 0.0930 0.5000
0.8145 0.8145 0.0000
0.9070 0.4070 0.5000
0.3127 0.3127 0.0000
0.5000 0.5000 0.0000
0.6873 0.6873 0.0000
0.0934 0.0934 0.0000
0.9066 0.9066 0.0000
```

Most intense lines, 2θ = 15–90°, low angle first:
2θ (°)	intensity
22.8	38
30.7	100
31.9	58
40.9	26
45.7	23
56.1	33


PrScS3: computed powder diffraction line list (Cu Kα), based on a DFT-relaxed cell (PBE, the Materials Project).

```
PrScS3
1.0
7.1876 0.0000 0.0000
0.0000 9.6212 0.0000
0.0000 0.0000 6.5354
Pr Sc S
4 4 12
Direct
0.0964 0.2500 0.0378
0.4036 0.7500 0.5378
0.5964 0.2500 0.4622
0.9036 0.7500 0.9622
0.0000 0.0000 0.5000
0.0000 0.5000 0.5000
0.5000 0.0000 0.0000
0.5000 0.5000 0.0000
0.0360 0.7500 0.3741
0.1896 0.5608 0.8214
0.1896 0.9392 0.8214
0.3104 0.0608 0.3214
0.3104 0.4392 0.3214
0.4640 0.2500 0.8741
0.5360 0.7500 0.1259
0.6896 0.5608 0.6786
0.6896 0.9392 0.6786
0.8104 0.0608 0.1786
0.8104 0.4392 0.1786
0.9640 0.2500 0.6259
```

Most intense lines, 2θ = 15–90°, low angle first:
2θ (°)	intensity
18.4	42
20.6	60
26.1	100
33.5	38
38.4	37
41.2	42


HgPRh: computed powder diffraction line list (Cu Kα), based on a DFT-relaxed cell (PBE, the Materials Project).

```
HgPRh
1.0
0.0000 3.1217 3.1217
3.1217 0.0000 3.1217
3.1217 3.1217 0.0000
Hg P Rh
1 1 1
Direct
0.0000 0.0000 0.0000
0.7500 0.7500 0.7500
0.2500 0.2500 0.2500
```

Most intense lines, 2θ = 15–90°, low angle first:
2θ (°)	intensity
24.7	100
40.9	100
48.4	51
59.2	17
65.1	21
74.4	34


Tm3Co6Sn5: computed powder diffraction line list (Cu Kα), based on a DFT-relaxed cell (PBE, the Materials Project).

```
Tm3Co6Sn5
1.0
-2.1496 4.7778 6.1240
2.1496 -4.7778 6.1240
2.1496 4.7778 -6.1240
Tm Co Sn
3 6 5
Direct
0.0000 0.0000 0.0000
0.3169 0.3169 0.0000
0.6831 0.6831 0.0000
0.1651 0.8919 0.2733
0.3044 0.5000 0.8044
0.3814 0.1081 0.2733
0.6186 0.8919 0.7267
0.6956 0.5000 0.1956
0.8349 0.1081 0.7267
0.0194 0.6768 0.3426
0.3342 0.6768 0.6574
0.5000 0.0000 0.5000
0.6658 0.3232 0.3426
0.9806 0.3232 0.6574
```

Most intense lines, 2θ = 15–90°, low angle first:
2θ (°)	intensity
30.2	71
35.1	49
35.7	100
38.1	32
42.0	44
56.3	28


- Which formula does entry 2 have?
  PrScS3